# Rb2MoO4F2
Simulated powder diffractogram, a wavelength of 1.5418 Å. Input: DFT lattice parameters and positions (GGA+U).
Intensities are scaled so that the largest is 100.

The 10 most intense peaks (2θ from 10° to 90°), low angle first:
Position (°2θ)  d/Å  I/Imax
23.22  3.831  16
24.73  3.600  47
26.35  3.382  100
28.39  3.144  26
38.00  2.368  47
39.34  2.290  22
44.55  2.034  22
49.04  1.858  16
49.22  1.851  14
59.17  1.561  18

Structural model:
```
Rb2MoO4F2
1.0
3.1438 -7.2477 0.0000
3.1438 7.2477 0.0000
0.0000 0.0000 7.2000
Rb Mo O F
4 2 8 4
Cartesian
3.1438 6.4671 5.4000 Rb
3.1438 3.3918 1.8000 Rb
3.1438 -3.3918 5.4000 Rb
3.1438 -6.4671 1.8000 Rb
3.1438 1.5648 5.4000 Mo
3.1438 -1.5648 1.8000 Mo
1.7063 1.6328 4.1810 O
1.7063 1.6328 6.6190 O
1.7063 -1.6328 0.5810 O
1.7063 -1.6328 3.0190 O
4.5813 1.6328 4.1810 O
4.5813 1.6328 6.6190 O
4.5813 -1.6328 0.5810 O
4.5813 -1.6328 3.0190 O
3.1438 3.6004 5.4000 F
3.1438 0.4152 1.8000 F
3.1438 -0.4152 5.4000 F
3.1438 -3.6004 1.8000 F
```